Calculated powder diffraction line list of KRbTeSe2 for a wavelength of 1.5418 Å, from a cell relaxed with GGA-PBE.

Atomic structure:
a b c (Å): 7.8545 4.2013 10.5955
angles (deg): 90.00 90.80 90.00
Positions (direct):
K: 0.0000 0.9999 0.2500
K: 0.0000 0.0001 0.7500
Rb: 0.5000 0.4972 0.2500
Rb: 0.5000 0.5028 0.7500
Te: 0.0000 0.5000 0.0000
Te: 0.0000 0.5000 0.5000
Se: 0.2576 0.9999 0.0022
Se: 0.2576 0.0001 0.5022
Se: 0.7424 0.9999 0.4978
Se: 0.7424 0.0001 0.9978

Principal peaks in the range 10 to 90 degrees two-theta, most intense first:
d [Å], intensity
2.869, 100
3.026, 75
3.045, 71
2.649, 63
5.297, 51
1.955, 41
4.420, 38
2.534, 37
2.512, 36
4.363, 33